[1]
Starting from DFT lattice parameters and positions (GGA-PBE), the powder diffraction line list of Ho3Er2In was simulated for Cu Kα, 1.54184 Å.
Peak positions follow from Bragg's law for the DFT cell and can differ from measured ones.

Peak list (10 most intense, 2θ = 10–90°, sorted by position)
2θ/deg, Rel. int.
31.8, 100
36.1, 18
37.1, 16
37.3, 16
52.8, 24
53.6, 11
62.2, 14
63.6, 14
63.8, 14
66.4, 12

Atomic structure:
a = 4.8434 Å, b = 14.9225 Å, c = 4.8269 Å
α = 90.00°, β = 90.00°, γ = 90.00°
Space group Cmmm (No. 65)
Asymmetric unit:
Ho (0.0000, 0.0000, 0.0000) [2 per cell]
Ho (0.0000, 0.3315, 0.0000) [4 per cell]
Er (0.0000, 0.1625, 0.5000) [4 per cell]
In (0.0000, 0.5000, 0.5000) [2 per cell]

[2]
Starting from DFT lattice parameters and positions (GGA-PBE), the powder diffraction line list of Ho2Er3In2 was simulated for Cu Kα, 1.54184 Å.
Peak positions follow from Bragg's law for the DFT cell and can differ from measured ones.

Peak list (10 most intense, 2θ = 10–90°, sorted by position)
2θ/deg, Rel. int.
32.7, 100
33.6, 100
47.5, 35
57.7, 16
59.4, 36
60.0, 19
68.4, 9
70.6, 12
78.4, 13
79.9, 15

Atomic structure:
a = 5.3395 Å, b = 5.3395 Å, c = 23.8293 Å
α = 90.00°, β = 90.00°, γ = 120.00°
Space group R-3m (No. 166, hexagonal axes)
Asymmetric unit:
Ho (0.0000, 0.0000, 0.0753) [6 per cell]
Er (0.0000, 0.0000, 0.3472) [6 per cell]
Er (0.0000, 0.0000, 0.5000) [3 per cell]
In (0.0000, 0.0000, 0.2165) [6 per cell]